Diffraction record for CsCaMg14. The PXRD pattern is theoretical, not measured: it uses the PBE geometry in the Materials Project and copper Kα.

Largest 10 diffraction maxima, in order of falling intensity, 2θ from 10° to 80°:
- 2θ 35.10, I 100
- 2θ 35.20, I 49
- 2θ 17.37, I 38
- 2θ 32.56, I 38
- 2θ 30.97, I 27
- 2θ 45.58, I 27
- 2θ 22.34, I 26
- 2θ 59.77, I 26
- 2θ 15.37, I 22
- 2θ 65.60, I 18

```
CsCaMg14
1.0
11.001 0.000 0.000
0.000 3.338 5.754
0.000 -3.338 5.754
Cs Ca Mg
1 1 14
direct
0.000 0.000 0.000
0.000 0.491 0.491
0.000 0.500 0.996
0.000 0.996 0.500
0.253 0.667 0.667
0.269 0.172 0.172
0.275 0.166 0.654
0.275 0.654 0.166
0.500 0.498 0.993
0.500 0.502 0.502
0.500 0.993 0.498
0.500 0.999 0.999
0.725 0.166 0.654
0.725 0.654 0.166
0.731 0.172 0.172
0.747 0.667 0.667
```